Structure and theoretical X-ray diffraction stick pattern of PmYNO (a GGA-PBE-relaxed structure; a wavelength of 1.5418 Å).

Cell and atoms:
Cell: 8.2027 6.8664 5.0244 Å, 90.00 90.00 90.00°
Space group Pbcm (No. 57)
Asymmetric unit:
Pm  0.1294  0.0825  0.2500 x4
Y  0.3789  0.5752  0.2500 x4
N  0.1321  0.0653  0.7500 x4
O  0.3789  0.5967  0.7500 x4

Main lines, low angle first (2θ from 10° to 90°):
(2 1 0), d = 3.521 Å, 2θ = 25.29°, I = 437
(0 2 0), d = 3.433 Å, 2θ = 25.95°, I = 252
(2 1 1), d = 2.883 Å, 2θ = 31.01°, I = 1000
(0 2 1), d = 2.835 Å, 2θ = 31.56°, I = 439
(0 0 2), d = 2.512 Å, 2θ = 35.74°, I = 373
(4 0 0), d = 2.051 Å, 2θ = 44.16°, I = 199
(2 1 2), d = 2.045 Å, 2θ = 44.29°, I = 185
(2 3 0), d = 1.999 Å, 2θ = 45.38°, I = 364
(4 2 1), d = 1.661 Å, 2θ = 55.29°, I = 186
(2 3 2), d = 1.564 Å, 2θ = 59.06°, I = 321